Computed PXRD pattern of NiAsAu2 for CuKα, from a structure optimized by DFT (PBE).
Kinematic intensities with the Lorentz-polarization factor, no thermal factor.

Most intense lines, 10° ≤ 2θ ≤ 90°, in order of rising 2θ:
- 3.699 Å, 2θ 24.06, I 26
- 2.265 Å, 2θ 39.79, I 100
- 1.932 Å, 2θ 47.04, I 14
- 1.602 Å, 2θ 57.54, I 17
- 1.470 Å, 2θ 63.27, I 6
- 1.308 Å, 2θ 72.24, I 35
- 1.233 Å, 2θ 77.40, I 5
- 1.133 Å, 2θ 85.79, I 11

Structure:
Cell: 4.531 4.531 4.531 Å, 60.00 60.00 60.00°
Fractional positions:
Ni  0.000  0.000  0.000
As  0.750  0.750  0.750
Au  0.250  0.250  0.250
Au  0.500  0.500  0.500



Computed PXRD pattern of AsPbAuO4 for CuKα, from a structure optimized by DFT (PBE).
Kinematic intensities with the Lorentz-polarization factor, no thermal factor.

Most intense lines, 10° ≤ 2θ ≤ 90°, in order of rising 2θ:
- 4.176 Å, 2θ 21.28, I 100
- 3.531 Å, 2θ 25.22, I 61
- 3.270 Å, 2θ 27.27, I 70
- 3.123 Å, 2θ 28.58, I 64
- 2.824 Å, 2θ 31.68, I 41
- 2.741 Å, 2θ 32.67, I 61
- 2.717 Å, 2θ 32.97, I 54
- 2.431 Å, 2θ 36.97, I 39
- 2.369 Å, 2θ 37.99, I 47
- 1.812 Å, 2θ 50.37, I 44

Structure:
Cell: 4.884 8.150 5.848 Å, 90.00 95.39 90.00°
Fractional positions:
As  0.000  0.155  0.250
As  0.000  0.845  0.750
Pb  0.500  0.179  0.750
Pb  0.500  0.821  0.250
Au  0.000  0.500  0.000
Au  0.000  0.500  0.500
O  0.167  0.275  0.059
O  0.167  0.725  0.559
O  0.253  0.046  0.404
O  0.253  0.954  0.904
O  0.747  0.046  0.096
O  0.747  0.954  0.596
O  0.833  0.275  0.441
O  0.833  0.725  0.941



Q: What is the formula in the second record?
A: AsPbAuO4